[1]
For YSi2Ir5, the GGA-PBE geometry in Alexandria gives the computed powder X-ray diffraction pattern in this record (Cu Kα X-rays).

Peak list (8 most intense, 2θ from 10° to 90°, low angle first)
Position (°2θ)  intensity
15.82  47.1
31.95  20.3
36.11  97.6
36.37  100.0
45.98  77.1
46.90  31.8
48.76  19.8
67.81  28.1

Unit cell a=3.8746 b=6.8914 c=9.6209 alpha=90.00 beta=90.00 gamma=90.00
Fractional coordinates of all 16 atoms:
Y 0.0000 0.0000 0.0000
Y 0.5000 0.5000 0.5000
Si 0.0000 0.5000 0.2455
Si 0.0000 0.5000 0.7545
Si 0.5000 0.0000 0.2545
Si 0.5000 0.0000 0.7455
Ir 0.0000 0.2009 0.3566
Ir 0.0000 0.2009 0.6434
Ir 0.0000 0.5000 0.0000
Ir 0.0000 0.7991 0.3566
Ir 0.0000 0.7991 0.6434
Ir 0.5000 0.0000 0.5000
Ir 0.5000 0.2991 0.1434
Ir 0.5000 0.2991 0.8566
Ir 0.5000 0.7009 0.1434
Ir 0.5000 0.7009 0.8566



[2]
For RhSeBr2, the GGA-PBE geometry in Alexandria gives the computed powder X-ray diffraction pattern in this record (Cu Kα X-rays).

Peak list (8 most intense, 2θ from 10° to 90°, low angle first)
Position (°2θ)  intensity
17.15  40.3
17.55  33.3
30.38  100.0
33.95  61.3
42.96  47.7
43.70  37.2
49.24  29.1
50.87  27.7

Unit cell a=5.2899 b=3.6193 c=5.4139 alpha=90.00 beta=107.21 gamma=90.00
Fractional coordinates of all 4 atoms:
Rh 0.0000 0.0000 0.0000
Se 0.7040 0.5000 0.8445
Br 0.0040 0.0000 0.4926
Br 0.3690 0.5000 0.1464



[3]
For MgTi3N2, the GGA-PBE geometry in Alexandria gives the computed powder X-ray diffraction pattern in this record (Cu Kα X-rays).

Peak list (8 most intense, 2θ from 10° to 90°, low angle first)
Position (°2θ)  intensity
13.19  100.0
36.66  59.7
36.87  59.3
40.32  41.1
43.65  33.8
44.09  31.5
60.94  30.8
63.78  18.2

Unit cell a=6.5015 b=6.5015 c=7.0021 alpha=105.69 beta=105.69 gamma=37.20
Fractional coordinates of all 12 atoms:
Mg 0.1556 0.1556 0.0020
Mg 0.8444 0.8444 0.9980
Ti 0.0587 0.0587 0.3572
Ti 0.2789 0.2789 0.6647
Ti 0.3962 0.3962 0.3405
Ti 0.6038 0.6038 0.6595
Ti 0.7211 0.7211 0.3353
Ti 0.9413 0.9413 0.6428
N 0.1130 0.1130 0.6777
N 0.4406 0.4406 0.6600
N 0.5594 0.5594 0.3400
N 0.8870 0.8870 0.3223



[4]
For Cd6InAu5, the GGA-PBE geometry in Alexandria gives the computed powder X-ray diffraction pattern in this record (Cu Kα X-rays).

Peak list (8 most intense, 2θ from 10° to 90°, low angle first)
Position (°2θ)  intensity
34.60  16.0
36.96  100.0
38.50  17.9
39.49  49.9
39.64  16.2
60.67  16.4
64.88  11.8
69.96  12.1

Unit cell a=5.2393 b=6.2902 c=7.4615 alpha=90.00 beta=102.03 gamma=90.00
Fractional coordinates of all 12 atoms:
Cd 0.0000 0.2403 0.0000
Cd 0.0000 0.7597 0.0000
Cd 0.2433 0.2469 0.6528
Cd 0.2433 0.7531 0.6528
Cd 0.7567 0.2469 0.3472
Cd 0.7567 0.7531 0.3472
In 0.5000 0.5000 0.0000
Au 0.2561 0.5000 0.3208
Au 0.2605 0.0000 0.3255
Au 0.5000 0.0000 0.0000
Au 0.7395 0.0000 0.6745
Au 0.7439 0.5000 0.6792